1.
Diffraction record for Sr2As4Ir3. The XRD peak list is simulated, not measured: it uses the PBE geometry in Alexandria and Cu Kα (weighted mean of Kα1 and Kα2).
Neutral-atom scattering factors, no anomalous dispersion.

Cell and atoms:
```
data_Sr2As4Ir3
_chemical_formula_sum 'Sr8 As16 Ir12'
_cell_length_a 5.805
_cell_length_b 10.101
_cell_length_c 13.283
_cell_angle_alpha 90.00
_cell_angle_beta 90.00
_cell_angle_gamma 90.00
_symmetry_space_group_name_H-M 'F m m m'
_symmetry_Int_Tables_number 69
_symmetry_space_group_name_Hall '-F 2 2'
loop_
_atom_site_label
_atom_site_type_symbol
_atom_site_fract_x
_atom_site_fract_y
_atom_site_fract_z
_atom_site_occupancy
Sr1 Sr 0.000 0.000 0.136 1
As1 As 0.000 0.162 0.359 1
Ir1 Ir 0.000 0.000 0.500 1
Ir2 Ir 0.250 0.250 0.000 1
```

Peak list (6 most intense, 10 to 90 degrees two-theta, low angle first)
(0 0 2), 2θ 13.33, intensity 100.0; (1 1 1), 2θ 18.85, intensity 25.0; (2 2 0), 2θ 35.68, intensity 30.2; (1 3 3), 2θ 36.94, intensity 56.0; (2 2 2), 2θ 38.25, intensity 51.0; (2 2 4), 2θ 45.21, intensity 23.9

---

2.
Diffraction record for TaAsIr2. The XRD peak list is simulated, not measured: it uses the PBE geometry in Alexandria and Cu Kα (weighted mean of Kα1 and Kα2).
Neutral-atom scattering factors, no anomalous dispersion.

Cell and atoms:
```
data_TaAsIr2
_chemical_formula_sum 'Ta1 As1 Ir2'
_cell_length_a 2.931
_cell_length_b 2.931
_cell_length_c 7.343
_cell_angle_alpha 90.00
_cell_angle_beta 90.00
_cell_angle_gamma 90.00
_symmetry_space_group_name_H-M 'P 4/m m m'
_symmetry_Int_Tables_number 123
_symmetry_space_group_name_Hall '-P 4 2'
loop_
_atom_site_label
_atom_site_type_symbol
_atom_site_fract_x
_atom_site_fract_y
_atom_site_fract_z
_atom_site_occupancy
Ta1 Ta 0.000 0.000 0.000 1
As1 As 0.000 0.000 0.500 1
Ir1 Ir 0.500 0.500 0.257 1
```

Peak list (6 most intense, 10 to 90 degrees two-theta, low angle first)
(1 0 2), 2θ 39.34, intensity 100.0; (1 1 0), 2θ 43.68, intensity 37.5; (0 0 4), 2θ 49.66, intensity 12.7; (2 0 0), 2θ 63.48, intensity 12.5; (1 1 4), 2θ 68.25, intensity 19.7; (2 1 2), 2θ 77.29, intensity 28.3

---

3.
Diffraction record for TaAs2Ir. The XRD peak list is simulated, not measured: it uses the PBE geometry in Alexandria and Cu Kα (weighted mean of Kα1 and Kα2).
Neutral-atom scattering factors, no anomalous dispersion.

Cell and atoms:
```
data_TaAs2Ir
_chemical_formula_sum 'Ta3 As6 Ir3'
_cell_length_a 2.9621
_cell_length_b 2.9621
_cell_length_c 30.7831
_cell_angle_alpha 90.00
_cell_angle_beta 90.00
_cell_angle_gamma 120.00
_symmetry_space_group_name_H-M 'R 3 m'
_symmetry_Int_Tables_number 160
_symmetry_space_group_name_Hall 'R 3 -2"'
loop_
_atom_site_label
_atom_site_type_symbol
_atom_site_fract_x
_atom_site_fract_y
_atom_site_fract_z
_atom_site_occupancy
Ta1 Ta 0.0000 0.0000 0.0000 1
As1 As 0.0000 0.0000 0.5308 1
As2 As 0.0000 0.0000 0.7371 1
Ir1 Ir 0.0000 0.0000 0.2584 1
```

Peak list (6 most intense, 10 to 90 degrees two-theta, low angle first)
(1 0 4), 2θ 36.94, intensity 100.0; (1 0 7), 2θ 40.72, intensity 33.7; (0 1 8), 2θ 42.35, intensity 50.9; (0 1 11), 2θ 48.12, intensity 34.1; (1 1 0), 2θ 62.74, intensity 24.9; (1 1 15), 2θ 79.87, intensity 20.0